[1]
Structure and calculated X-ray powder pattern of BaMn2Ag (a DFT-relaxed cell (PBE, Alexandria); CuKα).
Neutral-atom scattering factors, no anomalous dispersion.

Principal peaks in the range 5 to 70 degrees two-theta, in order of rising 2θ:
hkl, d_spacing, I (rel.)
0 0 3, 5.854, 20
1 0 1, 3.923, 65
1 0 4, 2.967, 72
0 0 6, 2.927, 41
0 1 5, 2.646, 69
1 1 0, 2.324, 100
1 1 6, 1.820, 58
2 0 5, 1.746, 19
1 0 10, 1.610, 26
1 2 5, 1.396, 18

Crystal structure
a = 4.647 Å, b = 4.647 Å, c = 17.563 Å
α = 90.00°, β = 90.00°, γ = 120.00°
Fractional coordinates of all 12 atoms:
Ba  0.000  0.000  0.000
Ba  0.333  0.667  0.667
Ba  0.667  0.333  0.333
Mn  0.000  0.000  0.512
Mn  0.000  0.000  0.808
Mn  0.333  0.667  0.178
Mn  0.333  0.667  0.474
Mn  0.667  0.333  0.141
Mn  0.667  0.333  0.845
Ag  0.000  0.000  0.194
Ag  0.333  0.667  0.860
Ag  0.667  0.333  0.527

---

[2]
Structure and calculated X-ray powder pattern of BaMn2Ag (a DFT-relaxed cell (PBE, Alexandria); CuKα).
Neutral-atom scattering factors, no anomalous dispersion.

Principal peaks in the range 5 to 70 degrees two-theta, in order of rising 2θ:
hkl, d_spacing, I (rel.)
0 0 3, 5.838, 15
0 1 2, 3.645, 55
1 0 4, 2.957, 100
0 0 6, 2.919, 37
0 1 5, 2.638, 17
1 1 0, 2.314, 86
0 2 4, 1.822, 24
1 1 6, 1.814, 52
1 0 10, 1.605, 26
2 1 4, 1.432, 21

Crystal structure
a = 4.629 Å, b = 4.629 Å, c = 17.515 Å
α = 90.00°, β = 90.00°, γ = 120.00°
Fractional coordinates of all 12 atoms:
Ba  0.000  0.000  0.000
Ba  0.333  0.667  0.667
Ba  0.667  0.333  0.333
Mn  0.000  0.000  0.197
Mn  0.000  0.000  0.803
Mn  0.333  0.667  0.469
Mn  0.333  0.667  0.864
Mn  0.667  0.333  0.136
Mn  0.667  0.333  0.531
Ag  0.000  0.000  0.500
Ag  0.333  0.667  0.167
Ag  0.667  0.333  0.833